# 1
Nd3Y7Ho: theoretical XRD peak list (copper Kα), based on a DFT-relaxed cell (PBE, Alexandria).
No peak broadening, texture or thermal motion is included.

Crystal structure
Lattice parameters (Å, degrees): 6.958 5.562 10.107 90.00 108.64 90.00
Space group P2/m (No. 10)
One atom of each set of equivalent atoms:
Nd 0.000 0.000 0.000 [1 per cell]
Nd 0.280 0.500 0.494 [2 per cell]
Y 0.000 0.000 0.500 [1 per cell]
Y 0.151 0.500 0.787 [2 per cell]
Y 0.318 0.500 0.134 [2 per cell]
Y 0.428 0.000 0.329 [2 per cell]
Ho 0.500 0.000 0.000 [1 per cell]

Main lines, in order of rising 2θ (5° ≤ 2θ ≤ 70°):
2theta	d_spacing	intensity
18.49	4.798	52
30.87	2.897	21
31.39	2.850	59
31.55	2.836	91
31.95	2.801	72
32.19	2.781	100
32.33	2.769	84
45.58	1.990	19
46.17	1.966	21
56.75	1.622	23


# 2
Tb3SmEr3: theoretical XRD peak list (copper Kα), based on a DFT-relaxed cell (PBE, Alexandria).
No peak broadening, texture or thermal motion is included.

Crystal structure
Lattice parameters (Å, degrees): 9.5521 9.5521 5.6545 90.00 90.00 120.00
Space group P6_3/m (No. 176)
One atom of each set of equivalent atoms:
Tb 0.0489 0.8101 0.2500 [6 per cell]
Sm 0.3333 0.6667 0.2500 [2 per cell]
Er 0.0955 0.6186 0.7500 [6 per cell]

Main lines, in order of rising 2θ (5° ≤ 2θ ≤ 70°):
2theta	d_spacing	intensity
28.55	3.127	24
31.65	2.827	24
32.73	2.736	100
43.14	2.097	16
50.56	1.805	20
57.06	1.614	21
59.09	1.563	3
60.89	1.521	23
61.54	1.507	16
68.60	1.368	4